# MnPdF4
Theoretical powder XRD pattern, Cu Ka. Input: a cell relaxed with PBE+U.
No peak broadening, texture or thermal motion is included.

Most intense lines, 2θ = 5–70°, in order of rising 2θ:
Position (°2θ), Rel. int.
23.36, 14
28.90, 100
33.27, 16
47.77, 17
48.25, 39
56.79, 31
57.65, 15
59.87, 9

Atomic structure:
```
12
Lattice="-2.693 2.693 5.286 2.693 -2.693 5.286 2.693 2.693 -5.286" Properties=species:S:1:pos:R:3 pbc="T T T"
Mn 0.000 0.000 2.643
Mn 0.000 0.000 7.928
Pd 2.693 0.000 0.000
Pd 0.000 2.693 0.000
F 3.671 0.978 -1.479
F 0.978 1.715 -1.479
F 3.671 0.978 1.479
F 0.978 1.715 1.479
F 1.715 0.978 3.807
F -0.978 1.715 3.807
F 1.715 0.978 6.764
F -0.978 1.715 6.764
```

***

# CoO4
Theoretical powder XRD pattern, Cu Ka. Input: a cell relaxed with PBE+U.
No peak broadening, texture or thermal motion is included.

Most intense lines, 2θ = 5–70°, in order of rising 2θ:
Position (°2θ), Rel. int.
16.63, 100
27.21, 12
33.27, 49
34.48, 9
37.22, 21
42.59, 24
48.24, 9
51.89, 11

Atomic structure:
```
5
Lattice="3.536 -1.574 0.000 3.536 1.574 0.000 -2.162 0.000 5.330" Properties=species:S:1:pos:R:3 pbc="T T T"
Co 0.000 0.000 0.000
O 1.379 0.000 1.322
O 2.661 0.000 0.927
O 2.250 0.000 4.404
O 3.532 0.000 4.008
```